Computed powder diffractogram of CeIr3 for copper Kα, from the PBE geometry in the Materials Project.
Kinematic intensities with the Lorentz-polarization factor, no thermal factor.

Largest 6 diffraction maxima, in order of rising 2θ, 2θ from 10° to 80°:
2θ = 39.3°, I 35, (2 0 1)
2θ = 39.5°, I 100, (1 1 4)
2θ = 40.8°, I 29, (0 0 8)
2θ = 42.0°, I 45, (2 0 3)
2θ = 44.2°, I 25, (2 0 4)
2θ = 70.6°, I 28, (2 2 0)

Cell and atoms:
a = 5.3350 Å, b = 5.3350 Å, c = 17.6867 Å
α = 90.00°, β = 90.00°, γ = 120.00°
Space group P6_3/mmc (No. 194)
Unique sites:
Ce: 0.3333 0.6667 0.0421 x4
Ce: 0.3333 0.6667 0.2500 x2
Ir: 0.0000 0.0000 0.0000 x2
Ir: 0.0000 0.0000 0.2500 x2
Ir: 0.1674 0.3348 0.6265 x12
Ir: 0.3333 0.6667 0.7500 x2

=====

Computed powder diffractogram of Cs2HfBr6 for copper Kα, from the PBE geometry in the Materials Project.
Kinematic intensities with the Lorentz-polarization factor, no thermal factor.

Largest 6 diffraction maxima, in order of rising 2θ, 2θ from 10° to 80°:
2θ = 13.8°, I 58, (1 1 1)
2θ = 22.6°, I 44, (2 2 0)
2θ = 27.7°, I 76, (2 2 2)
2θ = 32.1°, I 100, (4 0 0)
2θ = 46.1°, I 70, (4 4 0)
2θ = 54.6°, I 30, (6 2 2)

Cell and atoms:
a = 11.144 Å, b = 11.144 Å, c = 11.144 Å
α = 90.00°, β = 90.00°, γ = 90.00°
Space group Fm-3m (No. 225)
Unique sites:
Cs: 0.250 0.250 0.250 x8
Hf: 0.000 0.000 0.000 x4
Br: 0.000 0.000 0.236 x24

=====

Computed powder diffractogram of BaEuNbSbO6 for copper Kα, from the PBE geometry in the Materials Project.
Kinematic intensities with the Lorentz-polarization factor, no thermal factor.

Largest 6 diffraction maxima, in order of rising 2θ, 2θ from 10° to 80°:
2θ = 29.5°, I 100, (2 2 0)
2θ = 42.3°, I 30, (4 0 0)
2θ = 52.4°, I 40, (4 2 2)
2θ = 61.3°, I 19, (4 4 0)
2θ = 69.5°, I 18, (6 2 0)
2θ = 77.3°, I 6, (4 4 4)

Cell and atoms:
a = 8.551 Å, b = 8.551 Å, c = 8.551 Å
α = 90.00°, β = 90.00°, γ = 90.00°
Space group F-43m (No. 216)
Unique sites:
Ba: 0.000 0.000 0.000 x4
Eu: 0.000 0.000 0.500 x4
Nb: 0.250 0.250 0.750 x4
Sb: 0.250 0.250 0.250 x4
O: 0.014 0.250 0.750 x24

=====

Computed powder diffractogram of RbNaUSi2O9 for copper Kα, from the PBE geometry in the Materials Project.
Kinematic intensities with the Lorentz-polarization factor, no thermal factor.

Largest 6 diffraction maxima, in order of rising 2θ, 2θ from 10° to 80°:
2θ = 14.5°, I 100, (1 0 1)
2θ = 16.4°, I 42, (1 1 0)
2θ = 18.7°, I 73, (1 0 -1)
2θ = 24.8°, I 56, (1 2 1)
2θ = 27.8°, I 48, (1 -1 2)
2θ = 28.5°, I 73, (-1 2 1)

Cell and atoms:
a = 7.459 Å, b = 7.938 Å, c = 8.251 Å
α = 78.24°, β = 74.83°, γ = 84.59°
Space group P-1 (No. 2)
Unique sites:
Rb: 0.102 0.449 0.209 x2
Na: 0.385 0.809 0.756 x2
U: 0.000 0.000 0.000 x1
U: 0.500 0.500 0.500 x1
Si: 0.212 0.139 0.562 x2
Si: 0.212 0.859 0.349 x2
O: 0.000 0.209 0.545 x2
O: 0.074 0.771 0.979 x2
O: 0.193 0.988 0.173 x2
O: 0.219 0.079 0.760 x2
O: 0.280 0.966 0.473 x2
O: 0.310 0.545 0.686 x2
O: 0.350 0.689 0.328 x2
O: 0.351 0.290 0.451 x2
O: 0.436 0.255 0.028 x2

=====

Computed powder diffractogram of Sc5Co4Si10 for copper Kα, from the PBE geometry in the Materials Project.
Kinematic intensities with the Lorentz-polarization factor, no thermal factor.

Largest 6 diffraction maxima, in order of rising 2θ, 2θ from 10° to 80°:
2θ = 20.9°, I 51, (2 2 0)
2θ = 37.7°, I 100, (4 0 1)
2θ = 38.2°, I 42, (5 1 0)
2θ = 38.4°, I 60, (4 1 1)
2θ = 39.2°, I 99, (3 3 1)
2θ = 46.1°, I 75, (0 0 2)

Cell and atoms:
a = 12.013 Å, b = 12.013 Å, c = 3.941 Å
α = 90.00°, β = 90.00°, γ = 90.00°
Space group P4/mbm (No. 127)
Unique sites:
Sc: 0.000 0.000 0.000 x2
Sc: 0.112 0.388 0.500 x4
Sc: 0.176 0.676 0.500 x4
Co: 0.024 0.754 0.000 x8
Si: 0.002 0.836 0.500 x8
Si: 0.068 0.568 0.000 x4
Si: 0.157 0.198 0.000 x8

=====

Computed powder diffractogram of Ge3Os for copper Kα, from the PBE geometry in the Materials Project.
Kinematic intensities with the Lorentz-polarization factor, no thermal factor.

Largest 6 diffraction maxima, in order of rising 2θ, 2θ from 10° to 80°:
2θ = 24.1°, I 17, (1 1 1)
2θ = 27.9°, I 9, (2 0 0)
2θ = 39.9°, I 100, (2 2 0)
2θ = 47.2°, I 9, (3 1 1)
2θ = 57.7°, I 17, (4 0 0)
2θ = 72.5°, I 34, (4 2 2)

Cell and atoms:
a = 6.388 Å, b = 6.388 Å, c = 6.388 Å
α = 90.00°, β = 90.00°, γ = 90.00°
Space group Fm-3m (No. 225)
Unique sites:
Ge: 0.000 0.000 0.000 x4
Ge: 0.250 0.250 0.250 x8
Os: 0.000 0.000 0.500 x4